Calculated PXRD pattern
Compound: CuGePd
Radiation: CuKα
Structure: a crystal structure in Alexandria, relaxed with PBE
Kinematic intensities with the Lorentz-polarization factor, no thermal factor.

Principal peaks in the range 10 to 90 degrees two-theta, low angle first:
d_spacing  Position (°2θ)  I/Imax  h k l
2.910  30.73  24  1 0 0
2.741  32.67  41  1 -1 1
2.159  41.85  96  0 1 -3
2.119  42.67  91  1 -2 1
2.081  43.49  100  -1 1 2
1.912  47.55  22  0 2 1
1.545  59.87  26  2 -1 0
1.414  66.09  13  1 -2 4
1.256  75.70  32  2 -2 3
1.176  81.95  13  1 3 -1

Structural model:
Cell: 3.0901 4.7162 6.6893 Å, 103.47 90.02 109.10°
Space group P-1 (No. 2)
One atom of each set of equivalent atoms:
Cu: 0.1331 0.2675 0.4606 x2
Ge: 0.4104 0.8254 0.2507 x2
Pd: 0.3318 0.6596 0.8619 x2